For ErTaO4, a crystal structure in Alexandria, relaxed with GGA-PBE gives the simulated X-ray powder pattern in this record (copper Kα).

Structural model:
Cell: 7.5785 5.3083 7.5765 Å, 90.00 98.29 90.00°
Fractional coordinates of all 24 atoms:
Er1 0.1469 0.2210 0.3852
Er2 0.1469 0.2790 0.8852
Er3 0.8531 0.7210 0.1148
Er4 0.8531 0.7790 0.6148
Ta1 0.3355 0.7307 0.1841
Ta2 0.3355 0.7693 0.6841
Ta3 0.6645 0.2307 0.3159
Ta4 0.6645 0.2693 0.8159
O1 0.1082 0.5175 0.1735
O2 0.1082 0.9825 0.6735
O3 0.1783 0.0103 0.1164
O4 0.1783 0.4897 0.6164
O5 0.3289 0.6235 0.9355
O6 0.3289 0.8765 0.4355
O7 0.4326 0.0986 0.8089
O8 0.4326 0.4014 0.3089
O9 0.5674 0.5986 0.6911
O10 0.5674 0.9014 0.1911
O11 0.6711 0.1235 0.5645
O12 0.6711 0.3765 0.0645
O13 0.8217 0.5103 0.3836
O14 0.8217 0.9897 0.8836
O15 0.8918 0.0175 0.3265
O16 0.8918 0.4825 0.8265

Principal peaks in the range 10° ≤ 2θ ≤ 90°, sorted by position:
h k l, 2θ/deg, intensity
2 0 0, 23.73, 14
2 1 0, 29.16, 100
1 1 -2, 30.20, 11
0 2 0, 33.77, 16
2 1 -2, 35.60, 9
2 0 2, 36.25, 11
2 2 2, 50.38, 14
4 1 0, 51.71, 10
2 3 0, 57.60, 12
4 1 2, 60.91, 10